(1)
The following is a computed XRD peak list of TeMoSe2SBr. It was derived from a DFT-relaxed cell (PBE, OQMD), using Cu Kα X-rays.

The 10 most intense peaks (2θ = 10–90°), in order of rising 2θ:
2θ = 12.24°, I = 62; 2θ = 13.35°, I = 45; 2θ = 13.51°, I = 100; 2θ = 24.03°, I = 35; 2θ = 27.80°, I = 34; 2θ = 33.37°, I = 33; 2θ = 33.57°, I = 28; 2θ = 34.56°, I = 29; 2θ = 37.92°, I = 28; 2θ = 40.43°, I = 23

Structural model:
a b c (Å): 6.487 8.076 8.244
angles (deg): 111.78 97.52 113.50
Fractional coordinates of all 12 atoms:
1 Te 0.136 0.168 0.321
2 Te 0.864 0.832 0.679
3 Mo 0.227 0.001 0.001
4 Mo 0.773 0.999 0.999
5 Se 0.100 0.229 0.915
6 Se 0.455 0.993 0.757
7 Se 0.545 0.007 0.243
8 Se 0.900 0.771 0.085
9 S 0.336 0.731 0.822
10 S 0.664 0.269 0.178
11 Br 0.351 0.617 0.256
12 Br 0.649 0.383 0.744

***

(2)
The following is a computed XRD peak list of Y3Mg2ZnIr2Pd. It was derived from a DFT-relaxed cell (PBE, OQMD), using Cu Kα X-rays.

The 10 most intense peaks (2θ = 10–90°), in order of rising 2θ:
2θ = 24.39°, I = 60; 2θ = 26.39°, I = 31; 2θ = 33.25°, I = 84; 2θ = 36.24°, I = 100; 2θ = 42.93°, I = 44; 2θ = 44.17°, I = 41; 2θ = 45.40°, I = 25; 2θ = 52.19°, I = 25; 2θ = 64.25°, I = 27; 2θ = 68.89°, I = 25

Structural model:
a b c (Å): 3.996 7.299 7.299
angles (deg): 120.04 90.00 90.00
Fractional coordinates of all 9 atoms:
1 Y 0.000 0.000 0.000
2 Y 0.000 0.158 0.565
3 Y 0.000 0.565 0.158
4 Mg 0.500 0.573 0.819
5 Mg 0.500 0.819 0.573
6 Zn 0.500 0.320 0.320
7 Ir 0.500 0.239 0.905
8 Ir 0.500 0.905 0.239
9 Pd 0.000 0.567 0.567

***

(3)
The following is a computed XRD peak list of Ho2TmMoC3. It was derived from a DFT-relaxed cell (PBE, OQMD), using Cu Kα X-rays.

The 10 most intense peaks (2θ = 10–90°), in order of rising 2θ:
2θ = 31.01°, I = 30; 2θ = 31.88°, I = 59; 2θ = 33.32°, I = 100; 2θ = 33.85°, I = 28; 2θ = 34.47°, I = 92; 2θ = 36.07°, I = 28; 2θ = 43.25°, I = 25; 2θ = 54.41°, I = 27; 2θ = 56.97°, I = 22; 2θ = 66.58°, I = 22

Structural model:
a b c (Å): 6.378 6.378 5.785
angles (deg): 112.74 112.74 31.93
Fractional coordinates of all 7 atoms:
1 Ho 0.000 0.000 0.000
2 Ho 0.247 0.247 0.595
3 Tm 0.753 0.753 0.119
4 Mo 0.476 0.476 0.440
5 C 0.367 0.367 0.059
6 C 0.623 0.623 0.341
7 C 0.912 0.912 0.535

***

(4)
The following is a computed XRD peak list of TlAg2P2. It was derived from a DFT-relaxed cell (PBE, OQMD), using Cu Kα X-rays.

The 10 most intense peaks (2θ = 10–90°), in order of rising 2θ:
2θ = 15.09°, I = 32; 2θ = 15.29°, I = 31; 2θ = 29.34°, I = 33; 2θ = 30.45°, I = 48; 2θ = 30.87°, I = 62; 2θ = 31.44°, I = 22; 2θ = 32.31°, I = 100; 2θ = 39.09°, I = 61; 2θ = 43.91°, I = 33; 2θ = 60.47°, I = 21

Structural model:
a b c (Å): 6.095 6.095 11.587
angles (deg): 90.00 90.00 148.82
Fractional coordinates of all 10 atoms:
1 Tl 0.023 0.977 0.750
2 Tl 0.977 0.023 0.250
3 Ag 0.277 0.723 0.750
4 Ag 0.500 0.500 0.000
5 Ag 0.500 0.500 0.500
6 Ag 0.723 0.277 0.250
7 P 0.297 0.703 0.542
8 P 0.297 0.703 0.958
9 P 0.703 0.297 0.042
10 P 0.703 0.297 0.458

***

(5)
The following is a computed XRD peak list of LiHfCuTe2S. It was derived from a DFT-relaxed cell (PBE, OQMD), using Cu Kα X-rays.

The 10 most intense peaks (2θ = 10–90°), in order of rising 2θ:
2θ = 12.48°, I = 70; 2θ = 17.81°, I = 54; 2θ = 29.71°, I = 23; 2θ = 29.93°, I = 72; 2θ = 35.03°, I = 100; 2θ = 38.06°, I = 18; 2θ = 42.31°, I = 16; 2θ = 43.59°, I = 24; 2θ = 47.19°, I = 23; 2θ = 48.36°, I = 22

Structural model:
a b c (Å): 7.350 7.350 9.961
angles (deg): 90.00 90.00 149.62
Fractional coordinates of all 12 atoms:
1 Li 0.186 0.814 0.750
2 Li 0.814 0.186 0.250
3 Hf 0.500 0.500 0.000
4 Hf 0.500 0.500 0.500
5 Cu 0.025 0.975 0.250
6 Cu 0.975 0.025 0.750
7 Te 0.147 0.853 0.057
8 Te 0.147 0.853 0.443
9 Te 0.853 0.147 0.557
10 Te 0.853 0.147 0.943
11 S 0.434 0.566 0.250
12 S 0.566 0.434 0.750

***

(6)
The following is a computed XRD peak list of GdEr2Fe6Ni3. It was derived from a DFT-relaxed cell (PBE, OQMD), using Cu Kα X-rays.

The 10 most intense peaks (2θ = 10–90°), in order of rising 2θ:
2θ = 32.73°, I = 48; 2θ = 35.69°, I = 36; 2θ = 36.03°, I = 57; 2θ = 42.02°, I = 38; 2θ = 42.36°, I = 100; 2θ = 45.44°, I = 13; 2θ = 62.70°, I = 15; 2θ = 68.60°, I = 12; 2θ = 69.12°, I = 22; 2θ = 76.41°, I = 20

Structural model:
a b c (Å): 8.741 8.741 8.741
angles (deg): 33.14 33.14 33.14
Fractional coordinates of all 12 atoms:
1 Gd 0.000 0.000 0.000
2 Er 0.142 0.142 0.142
3 Er 0.858 0.858 0.858
4 Fe 0.079 0.584 0.584
5 Fe 0.416 0.416 0.921
6 Fe 0.416 0.921 0.416
7 Fe 0.584 0.079 0.584
8 Fe 0.584 0.584 0.079
9 Fe 0.921 0.416 0.416
10 Ni 0.333 0.333 0.333
11 Ni 0.500 0.500 0.500
12 Ni 0.667 0.667 0.667

***

(7)
The following is a computed XRD peak list of Sr3Zn2Mo2. It was derived from a DFT-relaxed cell (PBE, OQMD), using Cu Kα X-rays.

The 10 most intense peaks (2θ = 10–90°), in order of rising 2θ:
2θ = 24.67°, I = 30; 2θ = 30.81°, I = 77; 2θ = 31.72°, I = 26; 2θ = 36.89°, I = 30; 2θ = 39.12°, I = 100; 2θ = 39.96°, I = 30; 2θ = 41.41°, I = 19; 2θ = 50.60°, I = 19; 2θ = 51.21°, I = 42; 2θ = 65.76°, I = 17

Structural model:
a b c (Å): 11.594 11.594 11.594
angles (deg): 22.91 22.91 22.91
Fractional coordinates of all 7 atoms:
1 Sr 0.000 0.000 0.000
2 Sr 0.233 0.233 0.233
3 Sr 0.751 0.751 0.751
4 Zn 0.401 0.401 0.401
5 Zn 0.840 0.840 0.840
6 Mo 0.139 0.139 0.139
7 Mo 0.483 0.483 0.483

***

(8)
The following is a computed XRD peak list of SrNdZn2Se2O2. It was derived from a DFT-relaxed cell (PBE, OQMD), using Cu Kα X-rays.

The 10 most intense peaks (2θ = 10–90°), in order of rising 2θ:
2θ = 26.34°, I = 91; 2θ = 29.78°, I = 58; 2θ = 31.86°, I = 37; 2θ = 34.83°, I = 100; 2θ = 40.98°, I = 16; 2θ = 44.21°, I = 80; 2θ = 55.51°, I = 67; 2θ = 57.48°, I = 24; 2θ = 63.63°, I = 17; 2θ = 75.27°, I = 22

Structural model:
a b c (Å): 4.097 4.097 11.235
angles (deg): 90.00 90.00 120.00
Fractional coordinates of all 8 atoms:
1 Sr 0.000 0.000 0.000
2 Nd 0.333 0.667 0.497
3 Zn 0.667 0.333 0.280
4 Zn 0.667 0.333 0.772
5 Se 0.000 0.000 0.690
6 Se 0.333 0.667 0.213
7 O 0.667 0.333 0.459
8 O 0.667 0.333 0.943

***

(9)
The following is a computed XRD peak list of Hf3Pt4Au4. It was derived from a DFT-relaxed cell (PBE, OQMD), using Cu Kα X-rays.

The 10 most intense peaks (2θ = 10–90°), in order of rising 2θ:
2θ = 25.91°, I = 66; 2θ = 32.09°, I = 36; 2θ = 34.21°, I = 36; 2θ = 35.83°, I = 53; 2θ = 36.58°, I = 51; 2θ = 41.00°, I = 28; 2θ = 41.36°, I = 100; 2θ = 46.01°, I = 42; 2θ = 49.44°, I = 23; 2θ = 76.62°, I = 30

Structural model:
a b c (Å): 8.047 8.047 8.047
angles (deg): 139.44 139.44 58.71
Fractional coordinates of all 11 atoms:
1 Hf 0.000 0.000 0.000
2 Hf 0.250 0.750 0.500
3 Hf 0.750 0.250 0.500
4 Pt 0.000 0.500 0.500
5 Pt 0.196 0.196 0.000
6 Pt 0.500 0.000 0.500
7 Pt 0.804 0.804 0.000
8 Au 0.208 0.549 0.000
9 Au 0.451 0.451 0.659
10 Au 0.549 0.208 0.000
11 Au 0.792 0.792 0.341

***

(10)
The following is a computed XRD peak list of NaHoFeSe3. It was derived from a DFT-relaxed cell (PBE, OQMD), using Cu Kα X-rays.

The 10 most intense peaks (2θ = 10–90°), in order of rising 2θ:
2θ = 11.01°, I = 100; 2θ = 22.03°, I = 52; 2θ = 24.62°, I = 45; 2θ = 31.18°, I = 89; 2θ = 32.65°, I = 41; 2θ = 35.02°, I = 35; 2θ = 35.25°, I = 68; 2θ = 39.95°, I = 86; 2θ = 41.81°, I = 53; 2θ = 43.41°, I = 56

Structural model:
a b c (Å): 8.168 4.169 16.076
angles (deg): 90.00 90.00 90.00
Fractional coordinates of all 24 atoms:
1 Na 0.076 0.250 0.215
2 Na 0.424 0.750 0.715
3 Na 0.576 0.250 0.285
4 Na 0.924 0.750 0.785
5 Ho 0.248 0.750 0.455
6 Ho 0.252 0.250 0.955
7 Ho 0.748 0.750 0.045
8 Ho 0.752 0.250 0.545
9 Fe 0.122 0.250 0.640
10 Fe 0.378 0.750 0.140
11 Fe 0.622 0.250 0.860
12 Fe 0.878 0.750 0.360
13 Se 0.006 0.250 0.409
14 Se 0.125 0.750 0.059
15 Se 0.192 0.250 0.783
16 Se 0.308 0.750 0.283
17 Se 0.375 0.250 0.559
18 Se 0.494 0.750 0.909
19 Se 0.506 0.250 0.091
20 Se 0.625 0.750 0.441
21 Se 0.692 0.250 0.717
22 Se 0.808 0.750 0.217
23 Se 0.875 0.250 0.941
24 Se 0.994 0.750 0.591

***

- What is the formula in the eighth record?
  SrNdZn2Se2O2

***

- What is the formula in the seventh record?
  Sr3Zn2Mo2